Record 1
Starting from a crystal structure in Alexandria, relaxed with GGA-PBE, the PXRD pattern of NaY4ThS8 was simulated for Cu Kα (weighted mean of Kα1 and Kα2).
Lines closer than 0.1° are merged.

Atomic structure:
```
14
Lattice="4.045 2.335 6.738 -4.045 2.335 6.738 0.000 -4.671 6.738" Properties=species:S:1:pos:R:3 pbc="T T T"
Na 0.000 0.000 0.000
Y -2.083 -1.203 9.306
Y 0.000 0.000 5.180
Y 2.083 -1.203 9.306
Y 0.000 2.406 9.306
Th 0.000 0.000 12.757
S 0.000 -2.208 10.928
S -1.912 1.104 10.928
S 0.000 0.000 7.833
S -1.860 -1.074 14.467
S 1.912 1.104 10.928
S 0.000 0.000 17.512
S 1.860 -1.074 14.467
S 0.000 2.147 14.467
```

Largest 10 diffraction maxima, in order of rising 2θ, 10 to 90 degrees two-theta:
2theta	I (rel.)
13.38	97
15.39	25
21.97	30
25.44	49
25.69	100
31.06	82
40.73	38
40.90	30
44.20	53
44.81	52



Record 2
Starting from a crystal structure in Alexandria, relaxed with GGA-PBE, the PXRD pattern of NaTi5S8 was simulated for Cu Kα (weighted mean of Kα1 and Kα2).
Lines closer than 0.1° are merged.

Atomic structure:
```
14
Lattice="8.835 -1.708 0.000 8.835 1.708 0.000 -2.342 0.000 8.554" Properties=species:S:1:pos:R:3 pbc="T T T"
Na 0.000 0.000 0.000
Ti 1.723 0.000 4.202
Ti 1.713 0.000 7.298
Ti 7.693 0.000 4.293
Ti 13.668 0.000 1.293
Ti 13.660 0.000 4.386
S -0.169 0.000 5.703
S 3.801 0.000 2.848
S 6.041 0.000 0.065
S 5.773 0.000 5.846
S 9.612 0.000 2.742
S 9.342 0.000 8.525
S 11.583 0.000 5.742
S 15.553 0.000 2.886
```

Largest 10 diffraction maxima, in order of rising 2θ, 10 to 90 degrees two-theta:
2theta	I (rel.)
10.36	100
12.58	41
32.92	32
33.67	69
34.69	24
39.60	33
41.07	52
42.60	28
53.64	27
53.90	45



Record 3
Starting from a crystal structure in Alexandria, relaxed with GGA-PBE, the PXRD pattern of Na2Ti3S6 was simulated for Cu Kα (weighted mean of Kα1 and Kα2).
Lines closer than 0.1° are merged.

Atomic structure:
```
11
Lattice="3.003 -5.201 0.000 3.003 5.201 0.000 -2.004 0.000 6.902" Properties=species:S:1:pos:R:3 pbc="T T T"
Na 3.003 3.468 0.000
Na 3.003 -3.468 0.000
Ti -1.002 0.000 3.451
Ti 2.001 1.738 3.451
Ti 2.001 -1.738 3.451
S 0.003 1.727 4.888
S 1.008 0.000 2.017
S 0.003 -1.727 4.888
S 3.999 1.727 2.015
S 2.994 0.000 4.885
S 3.999 -1.727 2.015
```

Largest 10 diffraction maxima, in order of rising 2θ, 10 to 90 degrees two-theta:
2theta	I (rel.)
12.83	65
34.53	100
42.92	15
46.31	33
52.80	28
54.58	7
57.81	9
64.63	14
78.15	9
88.11	11



Record 4
Starting from a crystal structure in Alexandria, relaxed with GGA-PBE, the PXRD pattern of Na3Ti10S20 was simulated for Cu Kα (weighted mean of Kα1 and Kα2).
Lines closer than 0.1° are merged.

Atomic structure:
```
33
Lattice="2.971 -8.567 0.000 2.971 8.567 0.000 -1.975 0.000 13.269" Properties=species:S:1:pos:R:3 pbc="T T T"
Na 0.000 0.000 0.000
Na 2.158 3.251 0.041
Na 2.158 -3.251 0.041
Ti 0.096 3.434 9.709
Ti 0.078 0.000 3.609
Ti 0.107 0.000 9.717
Ti 3.079 5.134 3.592
Ti 0.096 -3.434 9.709
Ti 3.075 1.700 3.585
Ti 3.059 1.700 9.721
Ti 3.075 -1.700 3.585
Ti 3.059 -1.700 9.721
Ti 3.079 -5.134 3.592
S -0.900 1.710 11.187
S 2.077 6.847 4.988
S 1.086 5.142 8.326
S 1.082 1.702 2.125
S -0.900 -1.710 11.187
S 2.081 3.425 4.978
S 1.086 1.716 8.324
S 1.082 -1.702 2.125
S 2.088 3.430 11.196
S 2.080 0.000 4.985
S 1.086 -1.716 8.324
S 4.080 3.428 2.110
S 2.057 0.000 11.183
S 2.081 -3.425 4.978
S 1.086 -5.142 8.326
S 4.048 0.000 2.127
S 2.088 -3.430 11.196
S 2.077 -6.847 4.988
S 4.060 0.000 8.326
S 4.080 -3.428 2.110
```

Largest 10 diffraction maxima, in order of rising 2θ, 10 to 90 degrees two-theta:
2theta	I (rel.)
13.35	100
32.17	42
35.19	62
39.25	30
42.40	25
44.10	18
53.44	33
53.53	27
55.35	12
65.62	8



Record 5
Starting from a crystal structure in Alexandria, relaxed with GGA-PBE, the PXRD pattern of NaTi2S4 was simulated for Cu Kα (weighted mean of Kα1 and Kα2).
Lines closer than 0.1° are merged.

Atomic structure:
```
7
Lattice="5.927 0.000 0.000 0.000 3.464 0.000 -2.037 0.000 6.992" Properties=species:S:1:pos:R:3 pbc="T T T"
Na 0.000 0.000 0.000
Ti -1.019 1.732 3.496
Ti 1.945 0.000 3.496
S -0.028 0.000 4.925
S 0.973 1.732 2.052
S 2.917 1.732 4.940
S 3.918 0.000 2.067
```

Largest 10 diffraction maxima, in order of rising 2θ, 10 to 90 degrees two-theta:
2theta	I (rel.)
12.66	88
34.61	100
42.78	20
45.93	22
46.45	11
52.85	9
53.39	19
57.17	8
64.75	9
89.09	8



Record 6
Starting from a crystal structure in Alexandria, relaxed with GGA-PBE, the PXRD pattern of NaTiVS4 was simulated for Cu Kα (weighted mean of Kα1 and Kα2).
Lines closer than 0.1° are merged.

Atomic structure:
```
14
Lattice="14.189 0.000 0.000 0.000 3.431 0.000 -0.791 0.000 5.834" Properties=species:S:1:pos:R:3 pbc="T T T"
Na 0.000 0.000 0.000
Na 7.095 1.716 0.000
Ti 3.220 0.000 2.369
Ti 10.315 1.716 2.369
V 2.835 1.716 5.165
V 9.929 0.000 5.165
S 1.533 0.000 4.067
S 1.978 1.716 1.129
S 4.867 0.000 0.526
S 4.531 1.716 3.471
S 8.628 1.716 4.067
S 9.073 0.000 1.129
S 11.962 1.716 0.526
S 11.625 0.000 3.471
```

Largest 10 diffraction maxima, in order of rising 2θ, 10 to 90 degrees two-theta:
2theta	I (rel.)
12.59	100
31.33	24
31.59	14
37.03	57
37.32	26
42.85	22
46.03	7
53.37	30
53.81	18
66.96	8



Record 7
Starting from a crystal structure in Alexandria, relaxed with GGA-PBE, the PXRD pattern of NaTlS14 was simulated for Cu Kα (weighted mean of Kα1 and Kα2).
Lines closer than 0.1° are merged.

Atomic structure:
```
32
Lattice="10.346 -5.458 0.000 10.346 5.458 0.000 -2.554 0.000 8.711" Properties=species:S:1:pos:R:3 pbc="T T T"
Na 0.000 0.000 0.000
Na -1.277 0.000 4.355
Tl 8.430 0.130 6.533
Tl 9.707 -0.130 2.178
S 4.446 3.321 6.898
S -0.281 0.567 7.016
S 4.465 1.769 5.615
S 5.360 1.571 1.343
S 0.996 -0.567 2.660
S 8.648 3.029 1.884
S 8.137 2.781 7.498
S 8.724 2.781 5.568
S 10.767 3.029 2.472
S 6.008 0.024 2.469
S 4.730 -0.024 6.825
S 12.414 3.321 6.169
S 4.083 -1.571 5.698
S 5.742 -1.769 1.260
S 12.395 1.769 7.451
S 14.054 1.571 3.013
S 5.724 -3.321 2.542
S 13.407 0.024 1.886
S 12.130 -0.024 6.242
S 7.371 -3.029 6.239
S 9.414 -2.781 3.143
S 10.001 -2.781 1.213
S 9.489 -3.029 6.827
S 17.142 0.567 6.051
S 12.777 -1.571 7.368
S 13.672 -1.769 3.096
S 18.419 -0.567 1.695
S 13.691 -3.321 1.813
```

Largest 10 diffraction maxima, in order of rising 2θ, 10 to 90 degrees two-theta:
2theta	I (rel.)
17.87	65
18.55	29
20.39	100
21.24	42
23.84	66
27.04	51
28.71	26
33.20	49
34.07	33
50.15	22



Record 8
Starting from a crystal structure in Alexandria, relaxed with GGA-PBE, the PXRD pattern of NaTm2US6 was simulated for Cu Kα (weighted mean of Kα1 and Kα2).
Lines closer than 0.1° are merged.

Atomic structure:
```
10
Lattice="3.428 1.979 6.169 -3.428 1.979 6.169 0.000 -3.958 6.169" Properties=species:S:1:pos:R:3 pbc="T T T"
Na 0.000 0.000 0.000
Tm 0.000 0.000 5.268
Tm 0.000 0.000 14.745
U 0.000 0.000 8.881
S -1.983 -0.209 7.182
S -1.244 -1.919 10.210
S 1.173 -1.612 7.182
S -1.040 2.036 10.210
S 0.810 1.822 7.182
S 2.283 -0.118 10.210
```

Largest 10 diffraction maxima, in order of rising 2θ, 10 to 90 degrees two-theta:
2theta	I (rel.)
14.36	26
15.67	55
17.75	63
24.39	78
25.99	96
29.82	42
35.94	38
39.29	100
44.89	37
45.85	49



Record 9
Starting from a crystal structure in Alexandria, relaxed with GGA-PBE, the PXRD pattern of Na4Y3TmS8 was simulated for Cu Kα (weighted mean of Kα1 and Kα2).
Lines closer than 0.1° are merged.

Atomic structure:
```
16
Lattice="3.974 2.295 6.682 -3.974 2.295 6.682 0.000 -4.589 6.682" Properties=species:S:1:pos:R:3 pbc="T T T"
Na 0.000 0.000 0.000
Na -1.987 -1.147 6.682
Na -1.987 1.147 13.364
Na 0.000 2.295 6.682
Y -3.974 0.000 10.023
Y -1.987 1.147 3.341
Y 1.987 1.147 3.341
Tm 0.000 0.000 10.023
S 0.000 0.000 4.861
S -1.967 -1.136 11.532
S 0.000 -2.272 8.514
S -1.967 1.136 8.514
S 1.967 -1.136 11.532
S 0.000 2.272 11.532
S 1.967 1.136 8.514
S 0.000 0.000 15.185
```

Largest 10 diffraction maxima, in order of rising 2θ, 10 to 90 degrees two-theta:
2theta	I (rel.)
13.25	61
26.27	27
27.40	16
31.53	100
41.00	14
44.74	35
45.65	34
47.75	14
56.54	17
75.50	14



Record 10
Starting from a crystal structure in Alexandria, relaxed with GGA-PBE, the PXRD pattern of NaYTm4S8 was simulated for Cu Kα (weighted mean of Kα1 and Kα2).
Lines closer than 0.1° are merged.

Atomic structure:
```
14
Lattice="3.998 2.308 6.576 -3.998 2.308 6.576 0.000 -4.616 6.576" Properties=species:S:1:pos:R:3 pbc="T T T"
Na 0.000 0.000 0.000
Y 0.000 0.000 12.441
Tm -2.073 -1.197 9.033
Tm 0.000 0.000 4.962
Tm 2.073 -1.197 9.033
Tm 0.000 2.393 9.033
S 0.000 -2.175 10.636
S -1.884 1.088 10.636
S 0.000 0.000 7.579
S -1.832 -1.058 14.095
S 1.884 1.088 10.636
S 0.000 0.000 17.054
S 1.832 -1.058 14.095
S 0.000 2.115 14.095
```

Largest 10 diffraction maxima, in order of rising 2θ, 10 to 90 degrees two-theta:
2theta	I (rel.)
13.50	59
15.64	28
22.13	24
26.05	100
26.13	62
27.30	23
31.57	57
41.35	52
45.14	50
45.37	49



Record 11
Starting from a crystal structure in Alexandria, relaxed with GGA-PBE, the PXRD pattern of NaTm4ZrS8 was simulated for Cu Kα (weighted mean of Kα1 and Kα2).
Lines closer than 0.1° are merged.

Atomic structure:
```
14
Lattice="3.995 2.306 6.359 -3.995 2.306 6.359 0.000 -4.613 6.359" Properties=species:S:1:pos:R:3 pbc="T T T"
Na 0.000 0.000 0.000
Tm 0.000 -2.385 10.394
Tm -2.065 1.193 10.394
Tm 0.000 0.000 14.374
Tm 2.065 1.193 10.394
Zr 0.000 0.000 7.090
S 0.000 0.000 2.622
S 0.000 -2.074 5.603
S -1.796 1.037 5.603
S -1.841 -1.063 8.797
S 1.796 1.037 5.603
S 1.841 -1.063 8.797
S 0.000 2.125 8.797
S 0.000 0.000 11.810
```

Largest 10 diffraction maxima, in order of rising 2θ, 10 to 90 degrees two-theta:
2theta	I (rel.)
13.61	46
13.93	43
15.82	40
26.18	99
26.35	100
26.68	51
31.96	86
41.88	45
45.41	77
46.24	74



Record 12
Starting from a crystal structure in Alexandria, relaxed with GGA-PBE, the PXRD pattern of Na5US4 was simulated for Cu Kα (weighted mean of Kα1 and Kα2).
Lines closer than 0.1° are merged.

Atomic structure:
```
10
Lattice="8.583 -2.046 0.000 8.583 2.046 0.000 -1.730 0.000 7.748" Properties=species:S:1:pos:R:3 pbc="T T T"
Na 0.000 0.000 0.000
Na 4.501 0.000 4.900
Na 5.455 0.000 1.373
Na 9.982 0.000 6.375
Na 10.936 0.000 2.848
U -0.865 0.000 3.874
S 1.704 0.000 4.589
S 7.226 0.000 5.714
S 8.211 0.000 2.035
S 13.732 0.000 3.159
```

Largest 10 diffraction maxima, in order of rising 2θ, 10 to 90 degrees two-theta:
2theta	I (rel.)
10.56	87
11.42	100
13.77	38
21.21	17
24.64	28
27.01	16
31.40	56
32.05	26
45.24	20
45.71	33